1.
Computed PXRD pattern of Cd4CuAg7 for Cu Ka, from the PBE geometry in Alexandria.

Principal peaks in the range 2θ from 10° to 80°, by angle:
| two_theta | Rel. int. |
| --- | --- |
| 36.8 | 75 |
| 36.9 | 75 |
| 37.1 | 74 |
| 37.4 | 72 |
| 42.4 | 100 |
| 44.3 | 44 |
| 61.8 | 15 |
| 73.8 | 17 |
| 73.9 | 18 |
| 76.4 | 16 |

```
data_Cd4CuAg7
_chemical_formula_sum 'Cd4 Cu1 Ag7'
_symmetry_space_group_name_H-M 'P 1'
_symmetry_Int_Tables_number 1
_cell_length_a 5.1946
_cell_length_b 5.8668
_cell_length_c 7.8163
_cell_angle_alpha 98.32
_cell_angle_beta 108.36
_cell_angle_gamma 90.97
loop_
_symmetry_equiv_pos_as_xyz
'x,y,z'
loop_
_atom_site_label
_atom_site_type_symbol
_atom_site_fract_x
_atom_site_fract_y
_atom_site_fract_z
Cd1 Cd 0.1780 0.1628 0.1796
Cd2 Cd 0.3215 0.5756 0.8271
Cd3 Cd 0.6785 0.4244 0.1729
Cd4 Cd 0.8220 0.8372 0.8204
Cu1 Cu 0.5000 0.0000 0.5000
Ag1 Ag 0.0051 0.7566 0.4970
Ag2 Ag 0.1751 0.6712 0.1719
Ag3 Ag 0.3338 0.0787 0.8272
Ag4 Ag 0.5000 0.5000 0.5000
Ag5 Ag 0.6662 0.9213 0.1728
Ag6 Ag 0.8249 0.3288 0.8281
Ag7 Ag 0.9949 0.2434 0.5030
```

***

2.
Computed PXRD pattern of CdCu2AgF8 for Cu Ka, from the PBE geometry in Alexandria.

Principal peaks in the range 2θ from 10° to 80°, by angle:
| two_theta | Rel. int. |
| --- | --- |
| 18.2 | 9 |
| 28.3 | 100 |
| 32.2 | 21 |
| 33.0 | 16 |
| 46.8 | 24 |
| 47.3 | 18 |
| 55.1 | 16 |
| 56.1 | 34 |
| 58.4 | 13 |
| 75.5 | 11 |

```
data_CdCu2AgF8
_chemical_formula_sum 'Cd1 Cu2 Ag1 F8'
_symmetry_space_group_name_H-M 'P 1'
_symmetry_Int_Tables_number 1
_cell_length_a 6.7524
_cell_length_b 6.7524
_cell_length_c 6.7524
_cell_angle_alpha 132.58
_cell_angle_beta 132.58
_cell_angle_gamma 69.32
loop_
_symmetry_equiv_pos_as_xyz
'x,y,z'
loop_
_atom_site_label
_atom_site_type_symbol
_atom_site_fract_x
_atom_site_fract_y
_atom_site_fract_z
Cd1 Cd 0.0000 0.0000 0.0000
Cu1 Cu 0.2500 0.7500 0.5000
Cu2 Cu 0.5000 0.5000 0.0000
Ag1 Ag 0.7500 0.2500 0.5000
F1 F 0.0232 0.6431 0.0506
F2 F 0.0273 0.9768 0.6198
F3 F 0.1643 0.2668 0.5460
F4 F 0.3569 0.4075 0.3802
F5 F 0.3816 0.8357 0.1024
F6 F 0.5925 0.9727 0.9494
F7 F 0.7208 0.6184 0.4540
F8 F 0.7332 0.2792 0.8976
```

***

3.
Computed PXRD pattern of Cd2Cu2AgPd5 for Cu Ka, from the PBE geometry in Alexandria.

Principal peaks in the range 2θ from 10° to 80°, by angle:
| two_theta | Rel. int. |
| --- | --- |
| 31.3 | 21 |
| 35.8 | 16 |
| 38.5 | 100 |
| 40.9 | 34 |
| 42.3 | 34 |
| 44.6 | 16 |
| 45.1 | 28 |
| 62.5 | 19 |
| 65.3 | 10 |
| 78.8 | 12 |

```
data_Cd2Cu2AgPd5
_chemical_formula_sum 'Cd4 Cu4 Ag2 Pd10'
_symmetry_space_group_name_H-M 'P 1'
_symmetry_Int_Tables_number 1
_cell_length_a 9.0889
_cell_length_b 9.0889
_cell_length_c 4.0210
_cell_angle_alpha 90.00
_cell_angle_beta 90.00
_cell_angle_gamma 90.00
loop_
_symmetry_equiv_pos_as_xyz
'x,y,z'
loop_
_atom_site_label
_atom_site_type_symbol
_atom_site_fract_x
_atom_site_fract_y
_atom_site_fract_z
Cd1 Cd 0.1734 0.3266 0.0000
Cd2 Cd 0.3266 0.8266 0.0000
Cd3 Cd 0.6734 0.1734 0.0000
Cd4 Cd 0.8266 0.6734 0.0000
Cu1 Cu 0.1224 0.6224 0.0000
Cu2 Cu 0.3776 0.1224 0.0000
Cu3 Cu 0.6224 0.8776 0.0000
Cu4 Cu 0.8776 0.3776 0.0000
Ag1 Ag 0.0000 0.0000 0.0000
Ag2 Ag 0.5000 0.5000 0.0000
Pd1 Pd 0.0000 0.5000 0.5000
Pd2 Pd 0.0793 0.7982 0.5000
Pd3 Pd 0.2018 0.0793 0.5000
Pd4 Pd 0.2982 0.5793 0.5000
Pd5 Pd 0.4207 0.2982 0.5000
Pd6 Pd 0.5000 0.0000 0.5000
Pd7 Pd 0.5793 0.7018 0.5000
Pd8 Pd 0.7018 0.4207 0.5000
Pd9 Pd 0.7982 0.9207 0.5000
Pd10 Pd 0.9207 0.2018 0.5000
```

***

4.
Computed PXRD pattern of DyCd6Ag4 for Cu Ka, from the PBE geometry in Alexandria.

Principal peaks in the range 2θ from 10° to 80°, by angle:
| two_theta | Rel. int. |
| --- | --- |
| 29.2 | 77 |
| 30.4 | 48 |
| 35.4 | 42 |
| 38.4 | 100 |
| 38.7 | 61 |
| 39.2 | 52 |
| 39.8 | 31 |
| 50.5 | 31 |
| 59.6 | 50 |
| 69.0 | 27 |

```
data_DyCd6Ag4
_chemical_formula_sum 'Dy1 Cd6 Ag4'
_symmetry_space_group_name_H-M 'P 1'
_symmetry_Int_Tables_number 1
_cell_length_a 7.2321
_cell_length_b 7.2321
_cell_length_c 7.2321
_cell_angle_alpha 120.57
_cell_angle_beta 120.57
_cell_angle_gamma 89.02
loop_
_symmetry_equiv_pos_as_xyz
'x,y,z'
loop_
_atom_site_label
_atom_site_type_symbol
_atom_site_fract_x
_atom_site_fract_y
_atom_site_fract_z
Dy1 Dy 0.0000 0.0000 0.0000
Cd1 Cd 0.0000 0.5000 0.5000
Cd2 Cd 0.1160 0.1160 0.6635
Cd3 Cd 0.4524 0.4524 0.3365
Cd4 Cd 0.5000 0.0000 0.5000
Cd5 Cd 0.5476 0.8840 0.0000
Cd6 Cd 0.8840 0.5476 0.0000
Ag1 Ag 0.2554 0.6105 0.0000
Ag2 Ag 0.3895 0.3895 0.6449
Ag3 Ag 0.6105 0.2554 0.0000
Ag4 Ag 0.7446 0.7446 0.3551
```

***

5.
Computed PXRD pattern of DyCd2Ag for Cu Ka, from the PBE geometry in Alexandria.

Principal peaks in the range 2θ from 10° to 80°, by angle:
| two_theta | Rel. int. |
| --- | --- |
| 27.6 | 11 |
| 31.9 | 36 |
| 36.3 | 100 |
| 36.8 | 99 |
| 49.1 | 21 |
| 56.2 | 14 |
| 65.3 | 10 |
| 65.6 | 19 |
| 68.7 | 15 |
| 69.7 | 28 |

```
data_DyCd2Ag
_chemical_formula_sum 'Dy2 Cd4 Ag2'
_symmetry_space_group_name_H-M 'P 1'
_symmetry_Int_Tables_number 1
_cell_length_a 5.7085
_cell_length_b 4.9550
_cell_length_c 6.4367
_cell_angle_alpha 90.00
_cell_angle_beta 90.05
_cell_angle_gamma 90.00
loop_
_symmetry_equiv_pos_as_xyz
'x,y,z'
loop_
_atom_site_label
_atom_site_type_symbol
_atom_site_fract_x
_atom_site_fract_y
_atom_site_fract_z
Dy1 Dy 0.1184 0.2500 0.2497
Dy2 Dy 0.8816 0.7500 0.7503
Cd1 Cd 0.3503 0.7500 0.0028
Cd2 Cd 0.3499 0.7500 0.4974
Cd3 Cd 0.6501 0.2500 0.5026
Cd4 Cd 0.6497 0.2500 0.9972
Ag1 Ag 0.2076 0.2500 0.7498
Ag2 Ag 0.7924 0.7500 0.2502
```

***

6.
Computed PXRD pattern of Dy3Cd7Ag2 for Cu Ka, from the PBE geometry in Alexandria.

Principal peaks in the range 2θ from 10° to 80°, by angle:
| two_theta | Rel. int. |
| --- | --- |
| 30.9 | 16 |
| 32.5 | 22 |
| 33.0 | 100 |
| 34.6 | 15 |
| 36.0 | 44 |
| 36.9 | 11 |
| 37.0 | 13 |
| 37.8 | 41 |
| 46.7 | 23 |
| 61.6 | 19 |

```
data_Dy3Cd7Ag2
_chemical_formula_sum 'Dy3 Cd7 Ag2'
_symmetry_space_group_name_H-M 'P 1'
_symmetry_Int_Tables_number 1
_cell_length_a 4.7605
_cell_length_b 3.8908
_cell_length_c 15.7366
_cell_angle_alpha 90.00
_cell_angle_beta 98.46
_cell_angle_gamma 90.00
loop_
_symmetry_equiv_pos_as_xyz
'x,y,z'
loop_
_atom_site_label
_atom_site_type_symbol
_atom_site_fract_x
_atom_site_fract_y
_atom_site_fract_z
Dy1 Dy 0.0000 0.0000 0.0000
Dy2 Dy 0.3194 0.5000 0.6432
Dy3 Dy 0.6806 0.5000 0.3568
Cd1 Cd 0.0788 0.5000 0.1544
Cd2 Cd 0.2286 0.0000 0.4559
Cd3 Cd 0.4149 0.0000 0.8336
Cd4 Cd 0.5000 0.5000 0.0000
Cd5 Cd 0.5851 0.0000 0.1664
Cd6 Cd 0.7714 0.0000 0.5441
Cd7 Cd 0.9212 0.5000 0.8456
Ag1 Ag 0.1431 0.0000 0.2824
Ag2 Ag 0.8569 0.0000 0.7176
```

***

7.
Computed PXRD pattern of Dy3CdAg2 for Cu Ka, from the PBE geometry in Alexandria.

Principal peaks in the range 2θ from 10° to 80°, by angle:
| two_theta | Rel. int. |
| --- | --- |
| 24.3 | 3 |
| 34.6 | 100 |
| 42.7 | 1 |
| 49.6 | 6 |
| 49.7 | 12 |
| 56.1 | 1 |
| 61.9 | 12 |
| 62.0 | 24 |
| 72.9 | 7 |
| 73.0 | 4 |

```
data_Dy3CdAg2
_chemical_formula_sum 'Dy3 Cd1 Ag2'
_symmetry_space_group_name_H-M 'P 1'
_symmetry_Int_Tables_number 1
_cell_length_a 3.6661
_cell_length_b 3.6661
_cell_length_c 11.0342
_cell_angle_alpha 90.00
_cell_angle_beta 90.00
_cell_angle_gamma 90.00
loop_
_symmetry_equiv_pos_as_xyz
'x,y,z'
loop_
_atom_site_label
_atom_site_type_symbol
_atom_site_fract_x
_atom_site_fract_y
_atom_site_fract_z
Dy1 Dy 0.0000 0.0000 0.0000
Dy2 Dy 0.0000 0.0000 0.3269
Dy3 Dy 0.0000 0.0000 0.6731
Cd1 Cd 0.5000 0.5000 0.5000
Ag1 Ag 0.5000 0.5000 0.1660
Ag2 Ag 0.5000 0.5000 0.8340
```

***

8.
Computed PXRD pattern of DyCd3Ag3 for Cu Ka, from the PBE geometry in Alexandria.

Principal peaks in the range 2θ from 10° to 80°, by angle:
| two_theta | Rel. int. |
| --- | --- |
| 27.9 | 54 |
| 33.6 | 34 |
| 35.1 | 42 |
| 36.9 | 100 |
| 37.7 | 93 |
| 38.5 | 51 |
| 48.8 | 18 |
| 62.2 | 20 |
| 67.4 | 15 |
| 69.1 | 16 |

```
data_DyCd3Ag3
_chemical_formula_sum 'Dy2 Cd6 Ag6'
_symmetry_space_group_name_H-M 'P 1'
_symmetry_Int_Tables_number 1
_cell_length_a 7.7704
_cell_length_b 7.7704
_cell_length_c 7.7704
_cell_angle_alpha 56.48
_cell_angle_beta 56.48
_cell_angle_gamma 56.48
loop_
_symmetry_equiv_pos_as_xyz
'x,y,z'
loop_
_atom_site_label
_atom_site_type_symbol
_atom_site_fract_x
_atom_site_fract_y
_atom_site_fract_z
Dy1 Dy 0.1569 0.1569 0.1569
Dy2 Dy 0.8431 0.8431 0.8431
Cd1 Cd 0.0615 0.5810 0.2289
Cd2 Cd 0.2289 0.0615 0.5810
Cd3 Cd 0.4190 0.7711 0.9385
Cd4 Cd 0.5810 0.2289 0.0615
Cd5 Cd 0.7711 0.9385 0.4190
Cd6 Cd 0.9385 0.4190 0.7711
Ag1 Ag 0.2141 0.6769 0.4309
Ag2 Ag 0.3231 0.5691 0.7859
Ag3 Ag 0.4309 0.2141 0.6769
Ag4 Ag 0.5691 0.7859 0.3231
Ag5 Ag 0.6769 0.4309 0.2141
Ag6 Ag 0.7859 0.3231 0.5691
```

***

9.
Computed PXRD pattern of DyCd2Ag4 for Cu Ka, from the PBE geometry in Alexandria.

Principal peaks in the range 2θ from 10° to 80°, by angle:
| two_theta | Rel. int. |
| --- | --- |
| 18.8 | 17 |
| 20.2 | 14 |
| 34.9 | 100 |
| 38.0 | 79 |
| 41.1 | 63 |
| 44.8 | 24 |
| 55.1 | 13 |
| 62.5 | 35 |
| 68.9 | 26 |
| 74.8 | 20 |

```
data_DyCd2Ag4
_chemical_formula_sum 'Dy1 Cd2 Ag4'
_symmetry_space_group_name_H-M 'P 1'
_symmetry_Int_Tables_number 1
_cell_length_a 5.9956
_cell_length_b 5.9956
_cell_length_c 5.9956
_cell_angle_alpha 121.77
_cell_angle_beta 112.48
_cell_angle_gamma 95.22
loop_
_symmetry_equiv_pos_as_xyz
'x,y,z'
loop_
_atom_site_label
_atom_site_type_symbol
_atom_site_fract_x
_atom_site_fract_y
_atom_site_fract_z
Dy1 Dy 0.0000 0.0000 0.0000
Cd1 Cd 0.5000 0.0000 0.5000
Cd2 Cd 0.5000 0.5000 0.0000
Ag1 Ag 0.0000 0.0000 0.5000
Ag2 Ag 0.0000 0.5000 0.0000
Ag3 Ag 0.5000 0.0000 0.0000
Ag4 Ag 0.5000 0.5000 0.5000
```

***

10.
Computed PXRD pattern of Dy4CdAgPd2 for Cu Ka, from the PBE geometry in Alexandria.

Principal peaks in the range 2θ from 10° to 80°, by angle:
| two_theta | Rel. int. |
| --- | --- |
| 24.8 | 4 |
| 35.3 | 100 |
| 43.6 | 1 |
| 50.8 | 18 |
| 57.3 | 2 |
| 63.4 | 35 |
| 74.7 | 11 |

```
data_Dy4CdAgPd2
_chemical_formula_sum 'Dy4 Cd1 Ag1 Pd2'
_symmetry_space_group_name_H-M 'P 1'
_symmetry_Int_Tables_number 1
_cell_length_a 8.8021
_cell_length_b 8.8021
_cell_length_c 8.8021
_cell_angle_alpha 33.55
_cell_angle_beta 33.55
_cell_angle_gamma 33.55
loop_
_symmetry_equiv_pos_as_xyz
'x,y,z'
loop_
_atom_site_label
_atom_site_type_symbol
_atom_site_fract_x
_atom_site_fract_y
_atom_site_fract_z
Dy1 Dy 0.1229 0.1229 0.1229
Dy2 Dy 0.3730 0.3730 0.3730
Dy3 Dy 0.6270 0.6270 0.6270
Dy4 Dy 0.8771 0.8771 0.8771
Cd1 Cd 0.5000 0.5000 0.5000
Ag1 Ag 0.0000 0.0000 0.0000
Pd1 Pd 0.2469 0.2469 0.2469
Pd2 Pd 0.7531 0.7531 0.7531
```

***

11.
Computed PXRD pattern of Dy4CdAgRu2 for Cu Ka, from the PBE geometry in Alexandria.

Principal peaks in the range 2θ from 10° to 80°, by angle:
| two_theta | Rel. int. |
| --- | --- |
| 25.2 | 4 |
| 36.0 | 100 |
| 44.4 | 1 |
| 51.8 | 17 |
| 58.4 | 2 |
| 64.7 | 35 |
| 76.3 | 11 |

```
data_Dy4CdAgRu2
_chemical_formula_sum 'Dy4 Cd1 Ag1 Ru2'
_symmetry_space_group_name_H-M 'P 1'
_symmetry_Int_Tables_number 1
_cell_length_a 8.6574
_cell_length_b 8.6574
_cell_length_c 8.6574
_cell_angle_alpha 33.51
_cell_angle_beta 33.51
_cell_angle_gamma 33.51
loop_
_symmetry_equiv_pos_as_xyz
'x,y,z'
loop_
_atom_site_label
_atom_site_type_symbol
_atom_site_fract_x
_atom_site_fract_y
_atom_site_fract_z
Dy1 Dy 0.1230 0.1230 0.1230
Dy2 Dy 0.3734 0.3734 0.3734
Dy3 Dy 0.6266 0.6266 0.6266
Dy4 Dy 0.8770 0.8770 0.8770
Cd1 Cd 0.5000 0.5000 0.5000
Ag1 Ag 0.0000 0.0000 0.0000
Ru1 Ru 0.2490 0.2490 0.2490
Ru2 Ru 0.7510 0.7510 0.7510
```

***

12.
Computed PXRD pattern of DyCdAgSn for Cu Ka, from the PBE geometry in Alexandria.

Principal peaks in the range 2θ from 10° to 80°, by angle:
| two_theta | Rel. int. |
| --- | --- |
| 34.3 | 100 |
| 37.8 | 19 |
| 40.3 | 16 |
| 41.3 | 15 |
| 56.4 | 12 |
| 57.2 | 11 |
| 66.0 | 15 |
| 69.5 | 13 |
| 70.9 | 12 |
| 72.3 | 11 |

```
data_DyCdAgSn
_chemical_formula_sum 'Dy1 Cd1 Ag1 Sn1'
_symmetry_space_group_name_H-M 'P 1'
_symmetry_Int_Tables_number 1
_cell_length_a 4.3680
_cell_length_b 4.4719
_cell_length_c 4.7660
_cell_angle_alpha 90.00
_cell_angle_beta 90.00
_cell_angle_gamma 90.00
loop_
_symmetry_equiv_pos_as_xyz
'x,y,z'
loop_
_atom_site_label
_atom_site_type_symbol
_atom_site_fract_x
_atom_site_fract_y
_atom_site_fract_z
Dy1 Dy 0.0000 0.0000 0.0000
Cd1 Cd 0.0000 0.5000 0.5000
Ag1 Ag 0.5000 0.0000 0.5000
Sn1 Sn 0.5000 0.5000 0.0000
```

***

13.
Computed PXRD pattern of Er2CdAg3 for Cu Ka, from the PBE geometry in Alexandria.

Principal peaks in the range 2θ from 10° to 80°, by angle:
| two_theta | Rel. int. |
| --- | --- |
| 21.8 | 1 |
| 25.3 | 2 |
| 36.0 | 100 |
| 42.5 | 1 |
| 44.5 | 1 |
| 47.1 | 1 |
| 51.9 | 17 |
| 58.6 | 1 |
| 64.8 | 34 |
| 76.5 | 11 |

```
data_Er2CdAg3
_chemical_formula_sum 'Er4 Cd2 Ag6'
_symmetry_space_group_name_H-M 'P 1'
_symmetry_Int_Tables_number 1
_cell_length_a 4.9826
_cell_length_b 4.9826
_cell_length_c 12.2107
_cell_angle_alpha 90.00
_cell_angle_beta 90.00
_cell_angle_gamma 120.00
loop_
_symmetry_equiv_pos_as_xyz
'x,y,z'
loop_
_atom_site_label
_atom_site_type_symbol
_atom_site_fract_x
_atom_site_fract_y
_atom_site_fract_z
Er1 Er 0.0000 0.0000 0.0000
Er2 Er 0.0000 0.0000 0.5000
Er3 Er 0.3333 0.6667 0.1787
Er4 Er 0.6667 0.3333 0.8213
Cd1 Cd 0.3333 0.6667 0.6660
Cd2 Cd 0.6667 0.3333 0.3340
Ag1 Ag 0.0000 0.0000 0.2518
Ag2 Ag 0.0000 0.0000 0.7482
Ag3 Ag 0.3333 0.6667 0.4219
Ag4 Ag 0.3333 0.6667 0.9223
Ag5 Ag 0.6667 0.3333 0.0777
Ag6 Ag 0.6667 0.3333 0.5781
```

***

14.
Computed PXRD pattern of ErCd8Ag4 for Cu Ka, from the PBE geometry in Alexandria.

Principal peaks in the range 2θ from 10° to 80°, by angle:
| two_theta | Rel. int. |
| --- | --- |
| 31.4 | 51 |
| 31.8 | 17 |
| 36.3 | 63 |
| 36.4 | 100 |
| 36.7 | 69 |
| 40.7 | 31 |
| 41.2 | 60 |
| 59.7 | 23 |
| 65.3 | 24 |
| 65.6 | 31 |

```
data_ErCd8Ag4
_chemical_formula_sum 'Er1 Cd8 Ag4'
_symmetry_space_group_name_H-M 'P 1'
_symmetry_Int_Tables_number 1
_cell_length_a 7.5489
_cell_length_b 7.5489
_cell_length_c 7.5489
_cell_angle_alpha 97.98
_cell_angle_beta 97.98
_cell_angle_gamma 136.25
loop_
_symmetry_equiv_pos_as_xyz
'x,y,z'
loop_
_atom_site_label
_atom_site_type_symbol
_atom_site_fract_x
_atom_site_fract_y
_atom_site_fract_z
Er1 Er 0.0000 0.0000 0.0000
Cd1 Cd 0.0000 0.3432 0.3432
Cd2 Cd 0.0000 0.6568 0.6568
Cd3 Cd 0.2898 0.5000 0.7898
Cd4 Cd 0.3432 0.0000 0.3432
Cd5 Cd 0.5000 0.2898 0.7898
Cd6 Cd 0.5000 0.7102 0.2102
Cd7 Cd 0.6568 0.0000 0.6568
Cd8 Cd 0.7102 0.5000 0.2102
Ag1 Ag 0.0000 0.0000 0.5000
Ag2 Ag 0.0000 0.5000 0.0000
Ag3 Ag 0.5000 0.0000 0.0000
Ag4 Ag 0.5000 0.5000 0.5000
```